Structure and theoretical PXRD pattern of PmNd3Ir (a PBE-relaxed structure; Cu Kα X-rays).
Lines closer than 0.1° are merged.

Peak list (10 most intense, 15° ≤ 2θ ≤ 90°, by angle)
2theta  intensity  (hkl)
15.74  31  1 0 0
22.34  30  1 1 0
27.45  51  1 1 1
31.80  100  2 0 0
35.67  17  2 1 0
45.58  74  2 2 0
54.03  23  3 1 1
56.65  26  2 2 2
75.54  33  4 2 0
84.29  25  4 2 2

Atomic structure:
```
PmNd3Ir
1.0
5.629 0.000 0.000
0.000 5.629 0.000
0.000 0.000 5.629
Pm Nd Ir
1 3 1
direct
0.000 0.000 0.000
0.000 0.500 0.500
0.500 0.000 0.500
0.500 0.500 0.000
0.500 0.500 0.500
```